For K2BaAlGe2, a GGA-PBE-relaxed structure gives the simulated powder XRD pattern in this record (Cu Kα, 1.54184 Å).
Kinematic intensities with the Lorentz-polarization factor, no thermal factor.

Structural model:
Cell: 4.724 9.672 8.353 Å, 90.00 90.00 90.00°
Space group Pmc2_1 (No. 26)
Unique sites:
K 0.000 0.082 0.000 [2 per cell]
K 0.500 0.159 0.337 [2 per cell]
Ba 0.500 0.443 0.009 [2 per cell]
Al 0.000 0.333 0.657 [2 per cell]
Ge 0.000 0.400 0.302 [2 per cell]
Ge 0.500 0.199 0.719 [2 per cell]

Principal peaks in the range 2θ = 10–90°, by angle:
| h k l | 2θ/deg | I/Imax |
| --- | --- | --- |
| 0 2 2 | 28.23 | 28 |
| 1 2 1 | 28.50 | 71 |
| 0 3 1 | 29.70 | 28 |
| 1 1 2 | 30.02 | 100 |
| 0 1 3 | 33.49 | 25 |
| 1 3 0 | 33.66 | 28 |
| 1 2 2 | 34.13 | 28 |
| 2 0 0 | 38.10 | 32 |